1.
Computed powder XRD pattern of MgCo2O4 for Cu Kα (λ = 1.5418 Å), from DFT lattice parameters and positions (PBE+U).

Most intense lines, 2θ = 10–80°, by intensity:
hkl 2 0 -2, 4.506 Å, I = 100; hkl 4 0 0, 2.598 Å, I = 99; hkl 3 1 -1, 2.410 Å, I = 94; hkl 2 0 0, 5.197 Å, I = 90; hkl 3 1 -4, 1.752 Å, I = 76; hkl 0 0 1, 6.899 Å, I = 64; hkl 1 1 1, 2.426 Å, I = 63; hkl 2 0 -1, 6.722 Å, I = 60; hkl 3 1 2, 1.587 Å, I = 53; hkl 1 1 -2, 2.363 Å, I = 53

```
data_MgCo2O4
_chemical_formula_sum 'Mg4 Co8 O16'
_cell_length_a 13.581
_cell_length_b 2.866
_cell_length_c 9.015
_cell_angle_alpha 90.00
_cell_angle_beta 130.06
_cell_angle_gamma 90.00
_symmetry_space_group_name_H-M 'C 1 2/m 1'
_symmetry_Int_Tables_number 12
loop_
_symmetry_equiv_pos_as_xyz
'x,y,z'
'-x,-y,-z'
'-x,y,-z'
'x,-y,z'
'x+1/2,y+1/2,z'
'-x+1/2,-y+1/2,-z'
'-x+1/2,y+1/2,-z'
'x+1/2,-y+1/2,z'
loop_
_atom_site_label
_atom_site_fract_x
_atom_site_fract_y
_atom_site_fract_z
Mg1 0.172 0.000 0.160
Co1 0.134 0.000 0.816
Co2 0.147 0.500 0.478
O1 0.041 0.000 0.315
O2 0.132 0.500 0.680
O3 0.164 0.500 0.995
O4 0.221 0.500 0.358
```

***

2.
Computed powder XRD pattern of MgCo4O6 for Cu Kα (λ = 1.5418 Å), from DFT lattice parameters and positions (PBE+U).

Most intense lines, 2θ = 10–80°, by intensity:
hkl 0 2 5, 2.581 Å, I = 100; hkl 1 3 2, 2.115 Å, I = 60; hkl 0 4 0, 2.472 Å, I = 55; hkl 0 0 2, 7.566 Å, I = 53; hkl 1 3 3, 2.019 Å, I = 48; hkl 1 3 1, 2.180 Å, I = 46; hkl 0 6 4, 1.508 Å, I = 32; hkl 1 1 2, 2.658 Å, I = 28; hkl 1 1 1, 2.790 Å, I = 27; hkl 0 6 5, 1.446 Å, I = 26

```
data_MgCo4O6
_chemical_formula_sum 'Mg4 Co16 O24'
_cell_length_a 2.964
_cell_length_b 9.879
_cell_length_c 15.132
_cell_angle_alpha 90.00
_cell_angle_beta 90.00
_cell_angle_gamma 90.00
_symmetry_space_group_name_H-M 'C m c m'
_symmetry_Int_Tables_number 63
_symmetry_space_group_name_Hall '-C 2c 2'
loop_
_atom_site_label
_atom_site_fract_x
_atom_site_fract_y
_atom_site_fract_z
Mg1 0.000 0.158 0.250
Co1 0.000 0.097 0.640
Co2 0.000 0.364 0.548
O1 0.000 0.000 0.000
O2 0.000 0.198 0.750
O3 0.000 0.276 0.073
O4 0.000 0.445 0.659
```

***

3.
Computed powder XRD pattern of MgCo2O4 for Cu Kα (λ = 1.5418 Å), from DFT lattice parameters and positions (PBE+U).

Most intense lines, 2θ = 10–80°, by intensity:
hkl 0 2 3, 2.678 Å, I = 100; hkl 1 3 1, 2.113 Å, I = 52; hkl 1 3 2, 1.976 Å, I = 51; hkl 0 6 3, 1.443 Å, I = 47; hkl 0 0 2, 4.822 Å, I = 44; hkl 1 3 0, 2.166 Å, I = 41; hkl 0 4 0, 2.421 Å, I = 34; hkl 1 1 0, 2.797 Å, I = 32; hkl 1 1 5, 1.588 Å, I = 24; hkl 1 1 1, 2.686 Å, I = 19

```
data_MgCo2O4
_chemical_formula_sum 'Mg4 Co8 O16'
_cell_length_a 2.921
_cell_length_b 9.687
_cell_length_c 9.642
_cell_angle_alpha 90.00
_cell_angle_beta 90.00
_cell_angle_gamma 90.00
_symmetry_space_group_name_H-M 'C m c m'
_symmetry_Int_Tables_number 63
_symmetry_space_group_name_Hall '-C 2c 2'
loop_
_atom_site_label
_atom_site_fract_x
_atom_site_fract_y
_atom_site_fract_z
Mg1 0.000 0.112 0.250
Co1 0.000 0.367 0.072
O1 0.000 0.000 0.000
O2 0.000 0.276 0.614
O3 0.000 0.458 0.250
```

***

4.
Computed powder XRD pattern of MgCo2O4 for Cu Kα (λ = 1.5418 Å), from DFT lattice parameters and positions (PBE+U).

Most intense lines, 2θ = 10–80°, by intensity:
hkl 1 1 3, 2.543 Å, I = 100; hkl 0 2 1, 2.538 Å, I = 73; hkl 0 0 3, 4.880 Å, I = 59; hkl 0 2 4, 2.108 Å, I = 52; hkl 2 2 0, 1.488 Å, I = 42; hkl 2 0 8, 1.493 Å, I = 41; hkl 1 0 4, 2.986 Å, I = 38; hkl 1 2 5, 1.621 Å, I = 38; hkl 0 2 7, 1.625 Å, I = 22; hkl 0 1 2, 4.215 Å, I = 16

```
data_MgCo2O4
_chemical_formula_sum 'Mg6 Co12 O24'
_cell_length_a 5.9504
_cell_length_b 5.9504
_cell_length_c 14.6564
_cell_angle_alpha 90.00
_cell_angle_beta 90.00
_cell_angle_gamma 120.00
_symmetry_space_group_name_H-M 'R 3 m'
_symmetry_Int_Tables_number 160
_symmetry_space_group_name_Hall 'R 3 -2"'
loop_
_atom_site_label
_atom_site_fract_x
_atom_site_fract_y
_atom_site_fract_z
Mg1 0.0000 0.0000 0.0000
Mg2 0.0000 0.0000 0.3787
Co1 0.0000 0.0000 0.6204
Co2 0.1685 0.3369 0.8324
O1 0.0000 0.0000 0.2426
O2 0.0000 0.0000 0.7559
O3 0.0257 0.5128 0.7585
O4 0.1781 0.3563 0.5749
```

***

5.
Computed powder XRD pattern of MgCo2O4 for Cu Kα (λ = 1.5418 Å), from DFT lattice parameters and positions (PBE+U).

Most intense lines, 2θ = 10–80°, by intensity:
hkl 0 0 2, 4.940 Å, I = 100; hkl 1 0 4, 1.795 Å, I = 85; hkl 1 0 2, 2.309 Å, I = 78; hkl 1 0 0, 2.612 Å, I = 69; hkl 1 1 0, 1.508 Å, I = 35; hkl 0 1 3, 2.046 Å, I = 19; hkl 0 0 3, 3.294 Å, I = 18; hkl 1 1 2, 1.442 Å, I = 15; hkl 1 0 7, 1.242 Å, I = 12; hkl 0 1 6, 1.393 Å, I = 10

```
data_MgCo2O4
_chemical_formula_sum 'Mg1 Co2 O4'
_cell_length_a 3.0159
_cell_length_b 3.0159
_cell_length_c 9.8809
_cell_angle_alpha 90.00
_cell_angle_beta 90.00
_cell_angle_gamma 120.00
_symmetry_space_group_name_H-M 'P -3 m 1'
_symmetry_Int_Tables_number 164
_symmetry_space_group_name_Hall '-P 3 2"'
loop_
_atom_site_label
_atom_site_fract_x
_atom_site_fract_y
_atom_site_fract_z
Mg1 0.0000 0.0000 0.0000
Co1 0.0000 0.0000 0.2676
O1 0.3333 0.6667 0.1246
O2 0.3333 0.6667 0.6517
```

***

6.
Computed powder XRD pattern of Mg5Co19O32 for Cu Kα (λ = 1.5418 Å), from DFT lattice parameters and positions (PBE+U).

Most intense lines, 2θ = 10–80°, by intensity:
hkl 1 1 12, 2.461 Å, I = 100; hkl 2 2 0, 1.443 Å, I = 49; hkl 1 0 4, 4.713 Å, I = 46; hkl 1 2 20, 1.571 Å, I = 39; hkl 0 2 16, 2.041 Å, I = 38; hkl 1 1 0, 2.886 Å, I = 18; hkl 2 0 8, 2.357 Å, I = 15; hkl 4 0 4, 1.245 Å, I = 10; hkl 2 2 24, 1.231 Å, I = 8; hkl 2 2 12, 1.380 Å, I = 6

```
data_Mg5Co19O32
_chemical_formula_sum 'Mg15 Co57 O96'
_cell_length_a 5.7727
_cell_length_b 5.7727
_cell_length_c 56.5535
_cell_angle_alpha 90.00
_cell_angle_beta 90.00
_cell_angle_gamma 120.00
_symmetry_space_group_name_H-M 'R 3 m'
_symmetry_Int_Tables_number 160
_symmetry_space_group_name_Hall 'R 3 -2"'
loop_
_atom_site_label
_atom_site_fract_x
_atom_site_fract_y
_atom_site_fract_z
Mg1 0.0000 0.0000 0.0000
Mg2 0.0000 0.0000 0.0627
Mg3 0.0000 0.0000 0.2502
Mg4 0.0000 0.0000 0.5625
Mg5 0.0000 0.0000 0.8126
Co1 0.0000 0.0000 0.1563
Co2 0.0000 0.0000 0.3126
Co3 0.0000 0.0000 0.4062
Co4 0.0000 0.0000 0.5001
Co5 0.0000 0.0000 0.6565
Co6 0.0000 0.0000 0.7502
Co7 0.0000 0.0000 0.9063
Co8 0.0000 0.5000 0.0314
Co9 0.0007 0.5004 0.5313
Co10 0.0008 0.5004 0.7814
Co11 0.1670 0.3340 0.6147
O1 0.0000 0.0000 0.0974
O2 0.0000 0.0000 0.2153
O3 0.0000 0.0000 0.3471
O4 0.0000 0.0000 0.4655
O5 0.0000 0.0000 0.5974
O6 0.0000 0.0000 0.7156
O7 0.0000 0.0000 0.8474
O8 0.0000 0.0000 0.9653
O9 0.0362 0.5181 0.0950
O10 0.0360 0.5180 0.8449
O11 0.0376 0.5188 0.3451
O12 0.0377 0.5188 0.5950
O13 0.1847 0.3694 0.3011
O14 0.1855 0.3710 0.5510
O15 0.1855 0.3710 0.0509
O16 0.1856 0.3712 0.8010
```

***

7.
Computed powder XRD pattern of MgCo2O4 for Cu Kα (λ = 1.5418 Å), from DFT lattice parameters and positions (PBE+U).

Most intense lines, 2θ = 10–80°, by intensity:
hkl 2 1 1, 2.525 Å, I = 100; hkl 0 2 0, 2.977 Å, I = 91; hkl 0 4 0, 1.489 Å, I = 80; hkl 0 1 3, 2.546 Å, I = 69; hkl 1 2 1, 2.537 Å, I = 45; hkl 2 3 1, 1.617 Å, I = 27; hkl 2 0 4, 1.719 Å, I = 22; hkl 0 1 5, 1.626 Å, I = 20; hkl 2 2 0, 2.097 Å, I = 20; hkl 0 1 1, 4.869 Å, I = 16

```
data_MgCo2O4
_chemical_formula_sum 'Mg4 Co8 O16'
_cell_length_a 5.905
_cell_length_b 5.956
_cell_length_c 8.453
_cell_angle_alpha 90.00
_cell_angle_beta 90.00
_cell_angle_gamma 90.00
_symmetry_space_group_name_H-M 'I m m a'
_symmetry_Int_Tables_number 74
_symmetry_space_group_name_Hall '-I 2b 2'
loop_
_atom_site_label
_atom_site_fract_x
_atom_site_fract_y
_atom_site_fract_z
Mg1 0.000 0.000 0.000
Co1 0.000 0.250 0.381
Co2 0.250 0.250 0.750
O1 0.000 0.010 0.752
O2 0.244 0.250 0.985
```

***

8.
Computed powder XRD pattern of MgCo2O4 for Cu Kα (λ = 1.5418 Å), from DFT lattice parameters and positions (PBE+U).

Most intense lines, 2θ = 10–80°, by intensity:
hkl 3 1 1, 2.462 Å, I = 100; hkl 1 1 1, 4.713 Å, I = 88; hkl 4 0 0, 2.041 Å, I = 58; hkl 4 4 0, 1.443 Å, I = 55; hkl 5 1 1, 1.571 Å, I = 40; hkl 2 2 2, 2.357 Å, I = 19; hkl 5 3 1, 1.380 Å, I = 12; hkl 6 2 2, 1.231 Å, I = 11; hkl 5 3 3, 1.245 Å, I = 10; hkl 2 2 0, 2.886 Å, I = 10

Unit cell a=8.164 b=8.164 c=8.164 alpha=90.00 beta=90.00 gamma=90.00
Space group Fd-3m (No. 227, origin choice 2)
One atom of each set of equivalent atoms:
Mg 0.125 0.125 0.125
Co 0.000 0.000 0.500
O 0.014 0.014 0.736

***

9.
Computed powder XRD pattern of MgCo2O4 for Cu Kα (λ = 1.5418 Å), from DFT lattice parameters and positions (PBE+U).

Most intense lines, 2θ = 10–80°, by intensity:
hkl 0 2 3, 2.672 Å, I = 100; hkl 1 3 1, 2.114 Å, I = 54; hkl 1 3 2, 1.976 Å, I = 51; hkl 0 6 3, 1.441 Å, I = 48; hkl 0 0 2, 4.809 Å, I = 42; hkl 1 3 0, 2.168 Å, I = 38; hkl 1 1 0, 2.804 Å, I = 33; hkl 1 1 5, 1.586 Å, I = 24; hkl 0 4 0, 2.417 Å, I = 21; hkl 1 1 1, 2.692 Å, I = 19

```
data_MgCo2O4
_chemical_formula_sum 'Mg4 Co8 O16'
_cell_length_a 2.929
_cell_length_b 9.669
_cell_length_c 9.617
_cell_angle_alpha 90.00
_cell_angle_beta 90.00
_cell_angle_gamma 90.00
_symmetry_space_group_name_H-M 'P b c m'
_symmetry_Int_Tables_number 57
loop_
_symmetry_equiv_pos_as_xyz
'x,y,z'
'-x,-y,-z'
'-x,-y,z+1/2'
'x,y,-z+1/2'
'x,-y+1/2,-z'
'-x,y+1/2,z'
'-x,y+1/2,-z+1/2'
'x,-y+1/2,z+1/2'
loop_
_atom_site_label
_atom_site_fract_x
_atom_site_fract_y
_atom_site_fract_z
Mg1 0.239 0.140 0.250
Co1 0.253 0.617 0.572
O1 0.245 0.250 0.000
O2 0.250 0.527 0.115
O3 0.260 0.707 0.750
```

***

10.
Computed powder XRD pattern of MgCo2O4 for Cu Kα (λ = 1.5418 Å), from DFT lattice parameters and positions (PBE+U).

Most intense lines, 2θ = 10–80°, by intensity:
hkl 1 1 -1, 4.830 Å, I = 100; hkl 1 1 0, 4.871 Å, I = 92; hkl 1 3 -1, 2.455 Å, I = 72; hkl 0 0 2, 2.211 Å, I = 57; hkl 1 1 1, 2.638 Å, I = 53; hkl 4 0 -2, 2.090 Å, I = 47; hkl 0 4 2, 1.489 Å, I = 46; hkl 3 1 -2, 2.515 Å, I = 45; hkl 4 4 -2, 1.450 Å, I = 43; hkl 1 1 -2, 2.618 Å, I = 42

```
data_MgCo2O4
_chemical_formula_sum 'Mg4 Co8 O16'
_cell_length_a 8.361
_cell_length_b 8.053
_cell_length_c 6.045
_cell_angle_alpha 90.00
_cell_angle_beta 132.99
_cell_angle_gamma 90.00
_symmetry_space_group_name_H-M 'C 1 2/c 1'
_symmetry_Int_Tables_number 15
loop_
_symmetry_equiv_pos_as_xyz
'x,y,z'
'-x,-y,-z'
'-x,y,-z+1/2'
'x,-y,z+1/2'
'x+1/2,y+1/2,z'
'-x+1/2,-y+1/2,-z'
'-x+1/2,y+1/2,-z+1/2'
'x+1/2,-y+1/2,z+1/2'
loop_
_atom_site_label
_atom_site_fract_x
_atom_site_fract_y
_atom_site_fract_z
Mg1 0.000 0.119 0.250
Co1 0.000 0.500 0.000
Co2 0.250 0.250 0.000
O1 0.013 0.261 0.992
O2 0.230 0.485 0.970
```

***

11.
Computed powder XRD pattern of MgCo2O4 for Cu Kα (λ = 1.5418 Å), from DFT lattice parameters and positions (PBE+U).

Most intense lines, 2θ = 10–80°, by intensity:
hkl 1 0 2, 2.377 Å, I = 100; hkl 0 0 2, 5.065 Å, I = 92; hkl 1 0 4, 1.845 Å, I = 41; hkl 1 1 0, 1.554 Å, I = 30; hkl 1 0 0, 2.692 Å, I = 27; hkl 0 0 3, 3.377 Å, I = 18; hkl 1 1 2, 1.486 Å, I = 14; hkl 0 1 6, 1.430 Å, I = 14; hkl 0 1 5, 1.619 Å, I = 13; hkl 0 2 2, 1.301 Å, I = 12

```
data_MgCo2O4
_chemical_formula_sum 'Mg1 Co2 O4'
_cell_length_a 3.1086
_cell_length_b 3.1086
_cell_length_c 10.1307
_cell_angle_alpha 90.00
_cell_angle_beta 90.00
_cell_angle_gamma 120.00
_symmetry_space_group_name_H-M 'P 3 m 1'
_symmetry_Int_Tables_number 156
loop_
_symmetry_equiv_pos_as_xyz
'x,y,z'
'-y,x-y,z'
'-x+y,-x,z'
'-y,-x,z'
'-x+y,y,z'
'x,x-y,z'
loop_
_atom_site_label
_atom_site_fract_x
_atom_site_fract_y
_atom_site_fract_z
Mg1 0.0000 0.0000 0.0000
Co1 0.6667 0.3333 0.2992
Co2 0.6667 0.3333 0.7539
O1 0.0000 0.0000 0.1895
O2 0.0000 0.0000 0.6944
O3 0.3333 0.6667 0.3815
O4 0.3333 0.6667 0.9161
```